1.
This entry pairs a crystal structure of LiFeF3 with its computed powder X-ray diffraction pattern. Radiation: Cu Ka. Structure: a crystal structure in the Materials Project, relaxed with PBE+U.
Peak positions follow from Bragg's law for the DFT cell and can differ from measured ones.

Cell and atoms:
```
LiFeF3
1.0
5.205 0.000 0.000
2.577 4.528 0.000
0.016 0.012 7.660
Li Fe F
3 3 9
Cartesian
0.000 0.000 0.000
2.605 4.464 5.229
5.215 2.962 4.589
2.604 4.495 2.551
2.633 1.463 5.245
5.210 2.999 0.097
0.900 1.319 4.070
3.365 3.058 4.045
3.498 3.278 1.180
4.318 4.379 6.341
4.423 1.477 6.314
6.206 4.517 4.055
6.266 4.338 1.202
5.825 1.430 1.203
6.903 3.057 6.317
```

Peak list (6 most intense, 2θ = 5–70°, low angle first)
| d_spacing | Position (°2θ) | intensity |
| --- | --- | --- |
| 3.891 | 22.85 | 1000 |
| 2.925 | 30.56 | 250 |
| 2.913 | 30.69 | 125 |
| 1.827 | 49.91 | 229 |
| 1.823 | 50.04 | 176 |
| 1.509 | 61.46 | 121 |

2.
This entry pairs a crystal structure of Li2FeF5 with its computed powder X-ray diffraction pattern. Radiation: Cu Ka. Structure: a crystal structure in the Materials Project, relaxed with PBE+U.
Peak positions follow from Bragg's law for the DFT cell and can differ from measured ones.

Cell and atoms:
```
Li2FeF5
1.0
8.900 0.000 0.000
0.000 6.199 0.000
0.000 0.000 6.390
Li Fe F
8 4 20
Cartesian
1.368 0.109 0.358
1.368 2.990 0.358
3.082 3.209 3.554
3.082 6.090 3.554
5.818 0.109 2.837
5.818 2.990 2.837
7.532 3.209 6.032
7.532 6.090 6.032
0.010 1.550 3.709
4.440 4.649 0.514
4.460 1.550 5.876
8.890 4.649 2.681
0.088 1.550 5.853
0.542 0.275 2.122
0.542 2.824 2.122
1.750 4.649 3.573
1.928 1.550 3.958
2.522 4.649 0.763
2.700 1.550 0.378
3.908 3.375 5.318
3.908 5.924 5.318
4.362 4.649 2.658
4.538 1.550 3.733
4.992 0.275 1.073
4.992 2.824 1.073
6.200 4.649 6.013
6.378 1.550 5.627
6.972 4.649 2.432
7.150 1.550 2.818
8.358 3.375 4.268
8.358 5.924 4.268
8.812 4.649 0.537
```

Peak list (6 most intense, 2θ = 5–70°, low angle first)
| d_spacing | Position (°2θ) | intensity |
| --- | --- | --- |
| 5.191 | 17.08 | 1000 |
| 4.450 | 19.95 | 813 |
| 3.100 | 28.80 | 245 |
| 2.225 | 40.55 | 270 |
| 1.990 | 45.58 | 176 |
| 1.835 | 49.68 | 209 |

3.
This entry pairs a crystal structure of Li2FeF5 with its computed powder X-ray diffraction pattern. Radiation: Cu Ka. Structure: a crystal structure in the Materials Project, relaxed with PBE+U.
Peak positions follow from Bragg's law for the DFT cell and can differ from measured ones.

Cell and atoms:
```
Li2FeF5
1.0
9.853 0.000 0.000
0.000 5.134 0.000
-2.546 0.000 6.905
Li Fe F
8 4 20
Cartesian
-0.222 1.115 0.769
-1.494 1.452 4.221
1.191 1.268 3.268
-0.082 1.298 6.721
7.389 3.835 0.184
6.117 3.865 3.637
8.802 3.681 2.684
7.529 4.019 6.136
1.651 3.841 4.925
2.924 3.859 1.472
4.384 1.274 5.433
5.656 1.293 1.980
-1.669 0.663 5.989
-0.396 1.903 2.536
1.585 2.973 0.480
0.312 4.727 3.933
1.950 0.336 1.682
0.677 2.231 5.134
2.337 3.063 3.185
1.064 4.638 6.638
2.777 0.377 4.596
4.050 2.190 1.144
3.258 2.943 5.761
4.531 4.757 2.309
6.244 0.496 0.267
4.971 2.071 3.720
6.631 2.903 1.771
5.358 4.798 5.223
6.996 0.406 2.972
5.723 2.161 6.425
7.704 3.230 4.369
8.977 4.470 0.916
```

Peak list (6 most intense, 2θ = 5–70°, low angle first)
| d_spacing | Position (°2θ) | intensity |
| --- | --- | --- |
| 9.245 | 9.57 | 1000 |
| 4.488 | 19.78 | 637 |
| 3.678 | 24.20 | 390 |
| 3.435 | 25.94 | 696 |
| 2.255 | 39.99 | 301 |
| 2.248 | 40.11 | 331 |

4.
This entry pairs a crystal structure of LiFeF3 with its computed powder X-ray diffraction pattern. Radiation: Cu Ka. Structure: a crystal structure in the Materials Project, relaxed with PBE+U.
Peak positions follow from Bragg's law for the DFT cell and can differ from measured ones.

Cell and atoms:
```
LiFeF3
1.0
6.105 0.000 0.000
-0.018 6.112 0.000
-0.005 -0.010 6.127
Li Fe F
4 4 12
Cartesian
0.000 0.000 0.000
1.473 3.093 1.581
3.014 1.569 4.631
4.500 4.642 3.077
1.691 4.369 4.373
2.811 0.262 1.300
4.787 3.299 0.241
5.825 1.332 3.286
0.645 3.956 0.033
0.792 0.925 1.582
1.503 2.395 3.737
2.142 0.030 5.455
2.382 4.633 2.372
2.993 2.255 0.669
3.677 3.729 4.625
3.848 0.675 3.115
4.525 5.304 0.900
5.218 1.567 5.281
5.418 3.125 2.247
6.081 5.436 3.978
```

Peak list (6 most intense, 2θ = 5–70°, low angle first)
| d_spacing | Position (°2θ) | intensity |
| --- | --- | --- |
| 4.324 | 20.54 | 811 |
| 3.530 | 25.23 | 1000 |
| 2.736 | 32.73 | 866 |
| 1.936 | 46.93 | 465 |
| 1.931 | 47.06 | 452 |
| 1.636 | 56.22 | 349 |

5.
This entry pairs a crystal structure of LiFeF3 with its computed powder X-ray diffraction pattern. Radiation: Cu Ka. Structure: a crystal structure in the Materials Project, relaxed with PBE+U.
Peak positions follow from Bragg's law for the DFT cell and can differ from measured ones.

Cell and atoms:
```
LiFeF3
1.0
5.503 0.000 0.000
0.706 6.544 0.000
0.761 0.725 6.814
Li Fe F
4 4 12
Cartesian
1.390 0.996 1.821
2.820 5.206 6.194
4.150 2.062 0.621
5.580 6.273 4.994
2.090 4.212 2.799
2.130 1.911 5.331
4.840 5.357 1.484
4.879 3.057 4.016
1.127 4.302 1.049
1.230 2.358 3.268
1.910 6.659 5.372
2.320 1.602 0.274
3.017 3.886 4.661
3.018 5.955 2.371
3.952 1.313 4.444
3.953 3.383 2.154
4.650 5.667 6.540
5.060 0.610 1.442
5.740 4.911 3.546
5.843 2.967 5.766
```

Peak list (6 most intense, 2θ = 5–70°, low angle first)
| d_spacing | Position (°2θ) | intensity |
| --- | --- | --- |
| 6.814 | 12.99 | 199 |
| 4.976 | 17.82 | 1000 |
| 3.457 | 25.77 | 286 |
| 2.254 | 40.00 | 375 |
| 2.174 | 41.53 | 304 |
| 2.085 | 43.40 | 236 |

6.
This entry pairs a crystal structure of LiFeF3 with its computed powder X-ray diffraction pattern. Radiation: Cu Ka. Structure: a crystal structure in the Materials Project, relaxed with PBE+U.
Peak positions follow from Bragg's law for the DFT cell and can differ from measured ones.

Cell and atoms:
```
LiFeF3
1.0
4.567 -2.618 0.000
4.567 2.618 0.000
-2.970 0.000 4.732
Li Fe F
2 2 6
Cartesian
3.083 1.334 2.366
4.567 -1.334 0.000
0.063 1.309 4.135
1.548 -1.309 1.769
4.436 2.121 0.798
1.576 0.362 3.177
3.061 -0.362 0.811
4.726 0.548 3.110
6.211 -0.548 0.744
2.952 -2.121 3.164
```

Peak list (6 most intense, 2θ = 5–70°, low angle first)
| d_spacing | Position (°2θ) | intensity |
| --- | --- | --- |
| 3.869 | 22.99 | 510 |
| 3.812 | 23.33 | 1000 |
| 2.807 | 31.88 | 492 |
| 2.289 | 39.36 | 373 |
| 2.167 | 41.68 | 277 |
| 1.772 | 51.59 | 241 |

7.
This entry pairs a crystal structure of LiFeF3 with its computed powder X-ray diffraction pattern. Radiation: Cu Ka. Structure: a crystal structure in the Materials Project, relaxed with PBE+U.
Peak positions follow from Bragg's law for the DFT cell and can differ from measured ones.

Cell and atoms:
```
LiFeF3
1.0
7.839 0.000 0.000
0.000 3.031 0.000
0.000 0.000 9.990
Li Fe F
4 4 12
Cartesian
0.021 0.758 1.858
3.898 2.274 6.853
3.941 0.758 3.137
7.818 2.274 8.132
1.494 2.274 4.860
2.425 0.758 9.856
5.414 2.274 0.135
6.345 0.758 5.130
0.207 0.758 3.886
1.172 0.758 8.350
1.375 2.274 0.874
2.544 0.758 5.870
2.747 2.274 3.354
3.713 2.274 8.881
4.126 0.758 1.109
5.092 0.758 6.636
5.295 2.274 4.121
6.464 0.758 9.116
6.667 2.274 1.641
7.632 2.274 6.104
```

Peak list (6 most intense, 2θ = 5–70°, low angle first)
| d_spacing | Position (°2θ) | intensity |
| --- | --- | --- |
| 6.167 | 14.36 | 418 |
| 4.995 | 17.76 | 1000 |
| 3.084 | 28.96 | 367 |
| 2.721 | 32.92 | 516 |
| 2.162 | 41.79 | 368 |
| 2.056 | 44.05 | 294 |

8.
This entry pairs a crystal structure of LiFeF3 with its computed powder X-ray diffraction pattern. Radiation: Cu Ka. Structure: a crystal structure in the Materials Project, relaxed with PBE+U.
Peak positions follow from Bragg's law for the DFT cell and can differ from measured ones.

Cell and atoms:
```
LiFeF3
1.0
6.133 0.000 0.000
0.000 6.133 0.000
0.000 0.000 6.133
Li Fe F
4 4 12
Cartesian
0.746 2.320 3.813
2.320 3.813 0.746
3.813 0.746 2.320
5.386 5.386 5.386
0.991 0.991 0.991
2.075 5.142 4.057
4.057 2.075 5.142
5.142 4.057 2.075
0.082 4.507 3.803
0.737 2.984 1.626
1.441 5.396 6.051
1.626 0.737 2.984
2.329 3.148 4.692
2.984 1.626 0.737
3.148 4.692 2.329
3.803 0.082 4.507
4.507 3.803 0.082
4.692 2.329 3.148
5.396 6.051 1.441
6.051 1.441 5.396
```

Peak list (6 most intense, 2θ = 5–70°, low angle first)
| d_spacing | Position (°2θ) | intensity |
| --- | --- | --- |
| 4.336 | 20.48 | 796 |
| 3.541 | 25.15 | 882 |
| 2.743 | 32.65 | 1000 |
| 1.939 | 46.85 | 797 |
| 1.639 | 56.12 | 786 |
| 1.487 | 62.44 | 239 |